Structure and simulated powder XRD pattern of Ca10V3P3O24F2 (the PBE+U geometry in Alexandria; Cu Ka).

The 10 most intense peaks (2θ = 15–90°), low angle first:
| d (Å) | I_rel |
| --- | --- |
| 3.464 | 36 |
| 2.897 | 100 |
| 2.823 | 36 |
| 2.812 | 56 |
| 2.677 | 29 |
| 1.992 | 28 |
| 1.870 | 34 |
| 1.732 | 18 |
| 1.689 | 17 |
| 1.517 | 17 |

Structure:
```
data_Ca10V3P3O24F2
_chemical_formula_sum 'Ca10 V3 P3 O24 F2'
_cell_length_a 9.7411
_cell_length_b 9.7411
_cell_length_c 6.9288
_cell_angle_alpha 90.00
_cell_angle_beta 90.00
_cell_angle_gamma 120.00
_symmetry_space_group_name_H-M 'P -6'
_symmetry_Int_Tables_number 174
_symmetry_space_group_name_Hall 'P -6'
loop_
_atom_site_label
_atom_site_type_symbol
_atom_site_fract_x
_atom_site_fract_y
_atom_site_fract_z
_atom_site_occupancy
Ca1 Ca 0.0000 0.0000 0.2444 1
Ca2 Ca 0.0839 0.4370 0.0000 1
Ca3 Ca 0.0863 0.6656 0.5000 1
Ca4 Ca 0.6667 0.3333 0.2496 1
V1 V 0.3054 0.0329 0.5000 1
P1 P 0.3621 0.2868 0.0000 1
O1 O 0.0927 0.3381 0.3030 1
O2 O 0.1833 0.1647 0.0000 1
O3 O 0.2008 0.1362 0.5000 1
O4 O 0.4138 0.3975 0.1800 1
O5 O 0.4610 0.1998 0.0000 1
O6 O 0.5099 0.1522 0.5000 1
F1 F 0.3333 0.6667 0.0000 1
F2 F 0.3333 0.6667 0.5000 1
```